Calculated powder XRD pattern of Nd12Tm5Tl2 for copper Kα, from a structure optimized by DFT (PBE).

Principal peaks in the range 10° ≤ 2θ ≤ 90°, by intensity:
- 2θ = 31.68°, d 2.824, I 100
- 2θ = 29.96°, d 2.982, I 97
- 2θ = 32.77°, d 2.733, I 68
- 2θ = 31.03°, d 2.882, I 60
- 2θ = 32.13°, d 2.786, I 58
- 2θ = 35.37°, d 2.537, I 54
- 2θ = 31.90°, d 2.805, I 52
- 2θ = 58.11°, d 1.587, I 38
- 2θ = 55.43°, d 1.658, I 34
- 2θ = 29.28°, d 3.050, I 34

Crystal structure
abc: 15.480 9.402 8.643
angles: 90.00 93.06 90.00
Space group C2/m (No. 12)
Asymmetric unit:
Nd 0.057 0.000 0.320 (multiplicity 4)
Nd 0.085 0.500 0.885 (multiplicity 4)
Nd 0.124 0.195 0.654 (multiplicity 8)
Nd 0.151 0.315 0.234 (multiplicity 8)
Tm 0.000 0.500 0.500 (multiplicity 2)
Tm 0.185 0.000 0.005 (multiplicity 4)
Tm 0.232 0.500 0.586 (multiplicity 4)
Tl 0.000 0.181 0.000 (multiplicity 4)



Calculated powder XRD pattern of NdTmTl6 for copper Kα, from a structure optimized by DFT (PBE).

Principal peaks in the range 10° ≤ 2θ ≤ 90°, by intensity:
- 2θ = 32.36°, d 2.767, I 100
- 2θ = 37.54°, d 2.396, I 50
- 2θ = 64.49°, d 1.445, I 42
- 2θ = 54.13°, d 1.694, I 36
- 2θ = 89.05°, d 1.099, I 18
- 2θ = 67.74°, d 1.383, I 12
- 2θ = 80.06°, d 1.199, I 4
- 2θ = 80.20°, d 1.197, I 2
- 2θ = 18.52°, d 4.792, I 1
- 2θ = 26.30°, d 3.388, I 1

Crystal structure
abc: 4.794 4.794 9.574
angles: 90.00 90.00 90.00
Space group P4/mmm (No. 123)
Asymmetric unit:
Nd 0.000 0.000 0.000 (multiplicity 1)
Tm 0.000 0.000 0.500 (multiplicity 1)
Tl 0.000 0.500 0.255 (multiplicity 4)
Tl 0.500 0.500 0.000 (multiplicity 1)
Tl 0.500 0.500 0.500 (multiplicity 1)



Calculated powder XRD pattern of Nd12TmTl6 for copper Kα, from a structure optimized by DFT (PBE).

Principal peaks in the range 10° ≤ 2θ ≤ 90°, by intensity:
- 2θ = 33.88°, d 2.646, I 100
- 2θ = 32.20°, d 2.780, I 94
- 2θ = 31.88°, d 2.807, I 74
- 2θ = 31.23°, d 2.864, I 54
- 2θ = 33.42°, d 2.681, I 49
- 2θ = 29.67°, d 3.011, I 20
- 2θ = 55.40°, d 1.658, I 19
- 2θ = 23.41°, d 3.800, I 18
- 2θ = 59.57°, d 1.552, I 17
- 2θ = 35.42°, d 2.534, I 17

Crystal structure
abc: 11.7802 11.7802 14.9188
angles: 90.00 90.00 120.00
Space group R-3 (No. 148, hexagonal axes)
Asymmetric unit:
Nd 0.0626 0.2171 0.4087 (multiplicity 18)
Nd 0.0745 0.8853 0.8052 (multiplicity 18)
Tm 0.0000 0.0000 0.0000 (multiplicity 3)
Tl 0.0311 0.5896 0.7157 (multiplicity 18)



Calculated powder XRD pattern of Nd3Tm7Tl2 for copper Kα, from a structure optimized by DFT (PBE).

Principal peaks in the range 10° ≤ 2θ ≤ 90°, by intensity:
- 2θ = 31.34°, d 2.854, I 100
- 2θ = 31.69°, d 2.824, I 85
- 2θ = 32.55°, d 2.751, I 62
- 2θ = 34.96°, d 2.567, I 42
- 2θ = 50.74°, d 1.799, I 32
- 2θ = 30.73°, d 2.909, I 31
- 2θ = 34.23°, d 2.620, I 25
- 2θ = 29.31°, d 3.047, I 24
- 2θ = 55.52°, d 1.655, I 21
- 2θ = 37.91°, d 2.373, I 21

Crystal structure
abc: 5.665 3.599 18.317
angles: 90.00 93.40 90.00
Space group P2/m (No. 10)
Asymmetric unit:
Nd 0.000 0.000 0.000 (multiplicity 1)
Nd 0.274 0.500 0.634 (multiplicity 2)
Tm 0.177 0.500 0.150 (multiplicity 2)
Tm 0.242 0.000 0.458 (multiplicity 2)
Tm 0.322 0.000 0.833 (multiplicity 2)
Tm 0.500 0.500 0.000 (multiplicity 1)
Tl 0.209 0.000 0.290 (multiplicity 2)



Calculated powder XRD pattern of Nd6Tm12Tl for copper Kα, from a structure optimized by DFT (PBE).

Principal peaks in the range 10° ≤ 2θ ≤ 90°, by intensity:
- 2θ = 31.98°, d 2.799, I 100
- 2θ = 33.41°, d 2.682, I 72
- 2θ = 31.39°, d 2.850, I 45
- 2θ = 31.78°, d 2.816, I 31
- 2θ = 33.69°, d 2.660, I 28
- 2θ = 35.28°, d 2.544, I 21
- 2θ = 55.86°, d 1.646, I 20
- 2θ = 23.68°, d 3.757, I 18
- 2θ = 45.60°, d 1.989, I 16
- 2θ = 58.94°, d 1.567, I 14

Crystal structure
abc: 11.8660 11.8660 14.8324
angles: 90.00 90.00 120.00
Space group R-3 (No. 148, hexagonal axes)
Asymmetric unit:
Nd 0.0107 0.4208 0.1809 (multiplicity 18)
Tm 0.0053 0.8302 0.6874 (multiplicity 18)
Tm 0.0443 0.8527 0.9162 (multiplicity 18)
Tl 0.0000 0.0000 0.5000 (multiplicity 3)



Calculated powder XRD pattern of Nd3Tm6Tl for copper Kα, from a structure optimized by DFT (PBE).

Principal peaks in the range 10° ≤ 2θ ≤ 90°, by intensity:
- 2θ = 32.45°, d 2.759, I 100
- 2θ = 31.95°, d 2.801, I 81
- 2θ = 32.85°, d 2.727, I 60
- 2θ = 33.87°, d 2.647, I 29
- 2θ = 32.67°, d 2.741, I 25
- 2θ = 37.77°, d 2.382, I 23
- 2θ = 51.42°, d 1.777, I 20
- 2θ = 62.38°, d 1.489, I 19
- 2θ = 49.49°, d 1.842, I 19
- 2θ = 35.47°, d 2.531, I 18

Crystal structure
abc: 12.925 3.554 14.390
angles: 90.00 108.67 90.00
Space group P2_1/m (No. 11)
Asymmetric unit:
Nd 0.010 0.250 0.395 (multiplicity 2)
Nd 0.378 0.250 0.002 (multiplicity 2)
Nd 0.467 0.250 0.594 (multiplicity 2)
Tm 0.138 0.750 0.022 (multiplicity 2)
Tm 0.146 0.250 0.811 (multiplicity 2)
Tm 0.217 0.250 0.600 (multiplicity 2)
Tm 0.252 0.750 0.397 (multiplicity 2)
Tm 0.328 0.250 0.219 (multiplicity 2)
Tm 0.382 0.750 0.789 (multiplicity 2)
Tl 0.075 0.250 0.191 (multiplicity 2)



Calculated powder XRD pattern of Nd7Tm2Tl2 for copper Kα, from a structure optimized by DFT (PBE).

Principal peaks in the range 10° ≤ 2θ ≤ 90°, by intensity:
- 2θ = 31.18°, d 2.868, I 100
- 2θ = 30.09°, d 2.970, I 53
- 2θ = 34.90°, d 2.571, I 43
- 2θ = 32.99°, d 2.715, I 35
- 2θ = 30.55°, d 2.927, I 33
- 2θ = 31.77°, d 2.816, I 17
- 2θ = 49.41°, d 1.845, I 17
- 2θ = 61.91°, d 1.499, I 16
- 2θ = 58.94°, d 1.567, I 16
- 2θ = 60.29°, d 1.535, I 16

Crystal structure
abc: 3.689 20.562 9.887
angles: 90.00 90.00 90.00
Space group Imm2 (No. 44)
Asymmetric unit:
Nd 0.000 0.000 0.000 (multiplicity 2)
Nd 0.000 0.129 0.544 (multiplicity 4)
Nd 0.000 0.339 0.347 (multiplicity 4)
Nd 0.000 0.369 0.718 (multiplicity 4)
Tm 0.000 0.000 0.354 (multiplicity 2)
Tm 0.000 0.500 0.175 (multiplicity 2)
Tl 0.000 0.243 0.065 (multiplicity 4)



Calculated powder XRD pattern of Nd6TmTl5 for copper Kα, from a structure optimized by DFT (PBE).

Principal peaks in the range 10° ≤ 2θ ≤ 90°, by intensity:
- 2θ = 31.49°, d 2.841, I 100
- 2θ = 35.15°, d 2.553, I 19
- 2θ = 34.68°, d 2.587, I 18
- 2θ = 60.79°, d 1.524, I 16
- 2θ = 39.56°, d 2.278, I 13
- 2θ = 60.17°, d 1.538, I 13
- 2θ = 50.21°, d 1.817, I 13
- 2θ = 53.94°, d 1.700, I 11
- 2θ = 65.74°, d 1.421, I 11
- 2θ = 66.75°, d 1.401, I 11

Crystal structure
abc: 5.106 9.112 15.520
angles: 90.00 90.00 90.00
Space group Immm (No. 71)
Asymmetric unit:
Nd 0.000 0.234 0.000 (multiplicity 4)
Nd 0.000 0.260 0.329 (multiplicity 8)
Tm 0.000 0.000 0.500 (multiplicity 2)
Tl 0.000 0.000 0.173 (multiplicity 4)
Tl 0.000 0.500 0.149 (multiplicity 4)
Tl 0.000 0.500 0.500 (multiplicity 2)



Calculated powder XRD pattern of Nd2Tm3Tl4 for copper Kα, from a structure optimized by DFT (PBE).

Principal peaks in the range 10° ≤ 2θ ≤ 90°, by intensity:
- 2θ = 31.73°, d 2.820, I 100
- 2θ = 33.97°, d 2.639, I 88
- 2θ = 59.40°, d 1.556, I 34
- 2θ = 47.14°, d 1.928, I 23
- 2θ = 55.05°, d 1.668, I 19
- 2θ = 60.80°, d 1.523, I 17
- 2θ = 47.24°, d 1.924, I 11
- 2θ = 66.29°, d 1.410, I 11
- 2θ = 71.51°, d 1.319, I 10
- 2θ = 76.57°, d 1.244, I 10

Crystal structure
abc: 9.134 5.281 10.751
angles: 90.00 90.10 90.00
Space group C2/m (No. 12)
Asymmetric unit:
Nd 0.167 0.000 0.277 (multiplicity 4)
Tm 0.000 0.500 0.500 (multiplicity 2)
Tm 0.167 0.000 0.928 (multiplicity 4)
Tl 0.000 0.500 0.150 (multiplicity 4)
Tl 0.167 0.000 0.603 (multiplicity 4)



Calculated powder XRD pattern of Nd14TmTl for copper Kα, from a structure optimized by DFT (PBE).

Principal peaks in the range 10° ≤ 2θ ≤ 90°, by intensity:
- 2θ = 30.12°, d 2.967, I 100
- 2θ = 35.03°, d 2.561, I 34
- 2θ = 59.83°, d 1.546, I 29
- 2θ = 50.13°, d 1.820, I 24
- 2θ = 34.69°, d 2.586, I 17
- 2θ = 59.38°, d 1.557, I 14
- 2θ = 62.62°, d 1.483, I 12
- 2θ = 50.39°, d 1.811, I 12
- 2θ = 81.54°, d 1.180, I 12
- 2θ = 81.94°, d 1.176, I 6

Crystal structure
abc: 10.343 10.244 10.246
angles: 90.00 90.00 90.00
Space group Amm2 (No. 38)
Asymmetric unit:
Nd 0.000 0.000 0.000 (multiplicity 2)
Nd 0.000 0.000 0.500 (multiplicity 2)
Nd 0.000 0.250 0.250 (multiplicity 4)
Nd 0.255 0.000 0.249 (multiplicity 4)
Nd 0.255 0.000 0.751 (multiplicity 4)
Nd 0.255 0.249 0.000 (multiplicity 8)
Nd 0.500 0.249 0.250 (multiplicity 4)
Tm 0.500 0.000 0.500 (multiplicity 2)
Tl 0.500 0.000 0.000 (multiplicity 2)



Calculated powder XRD pattern of NdYTmTl for copper Kα, from a structure optimized by DFT (PBE).

Principal peaks in the range 10° ≤ 2θ ≤ 90°, by intensity:
- 2θ = 31.68°, d 2.824, I 100
- 2θ = 36.40°, d 2.469, I 17
- 2θ = 36.69°, d 2.450, I 17
- 2θ = 37.15°, d 2.420, I 16
- 2θ = 62.56°, d 1.485, I 14
- 2θ = 62.95°, d 1.477, I 14
- 2θ = 63.57°, d 1.464, I 14
- 2θ = 66.18°, d 1.412, I 12
- 2θ = 52.64°, d 1.739, I 12
- 2θ = 52.99°, d 1.728, I 12

Crystal structure
abc: 4.840 4.899 4.937
angles: 90.00 90.00 90.00
Space group Pmmm (No. 47)
Asymmetric unit:
Nd 0.000 0.000 0.000 (multiplicity 1)
Y 0.500 0.000 0.500 (multiplicity 1)
Tm 0.500 0.500 0.000 (multiplicity 1)
Tl 0.000 0.500 0.500 (multiplicity 1)



Calculated powder XRD pattern of Nd7Y12Tl for copper Kα, from a structure optimized by DFT (PBE).

Principal peaks in the range 10° ≤ 2θ ≤ 90°, by intensity:
- 2θ = 32.87°, d 2.725, I 100
- 2θ = 31.38°, d 2.850, I 95
- 2θ = 30.63°, d 2.919, I 74
- 2θ = 29.06°, d 3.073, I 48
- 2θ = 31.78°, d 2.816, I 47
- 2θ = 51.00°, d 1.791, I 30
- 2θ = 23.72°, d 3.750, I 26
- 2θ = 28.02°, d 3.185, I 26
- 2θ = 52.73°, d 1.736, I 23
- 2θ = 36.71°, d 2.448, I 19

Crystal structure
abc: 12.0586 12.0586 16.0743
angles: 90.00 90.00 120.00
Space group R-3 (No. 148, hexagonal axes)
Asymmetric unit:
Nd 0.0000 0.0000 0.0000 (multiplicity 3)
Nd 0.0619 0.1853 0.2923 (multiplicity 18)
Y 0.0399 0.4604 0.2158 (multiplicity 18)
Y 0.0571 0.5807 0.5846 (multiplicity 18)
Tl 0.0000 0.0000 0.5000 (multiplicity 3)